Record 1
Structure and theoretical powder XRD pattern of DyScAs2O8 (a cell relaxed with GGA-PBE; Cu Ka).
Intensities are scaled so that the largest is 100.

Atomic structure:
Unit cell a=4.956 b=4.956 c=11.114 alpha=90.00 beta=90.00 gamma=90.00
Space group I-4 (No. 82)
Symmetry-distinct sites (fractional):
Dy 0.000 0.000 0.000 [2 per cell]
Sc 0.000 0.500 0.750 [2 per cell]
As 0.000 0.000 0.500 [2 per cell]
As 0.000 0.500 0.250 [2 per cell]
O 0.151 0.256 0.582 [8 per cell]
O 0.164 0.757 0.173 [8 per cell]

Top 12 peaks for 10 to 90 degrees two-theta, sorted by position:
15.95 deg, I 10, hkl 0 0 2; 19.61 deg, I 14, hkl 1 0 1; 30.15 deg, I 100, hkl 1 1 2; 32.22 deg, I 14, hkl 0 0 4; 36.25 deg, I 16, hkl 2 0 0; 41.51 deg, I 15, hkl 1 1 4; 49.27 deg, I 29, hkl 2 0 4; 52.20 deg, I 13, hkl 2 2 0; 56.17 deg, I 16, hkl 1 1 6; 61.47 deg, I 26, hkl 1 3 2; 62.68 deg, I 12, hkl 2 2 4; 80.23 deg, I 11, hkl 3 1 6

***

Record 2
Structure and theoretical powder XRD pattern of YTe2Au (a cell relaxed with GGA-PBE; Cu Ka).
Intensities are scaled so that the largest is 100.

Atomic structure:
Unit cell a=4.199 b=26.276 c=4.489 alpha=90.00 beta=90.00 gamma=90.00
Space group Cmcm (No. 63)
Symmetry-distinct sites (fractional):
Y 0.000 0.174 0.250 [4 per cell]
Te 0.000 0.296 0.250 [4 per cell]
Te 0.000 0.413 0.750 [4 per cell]
Au 0.000 0.468 0.250 [4 per cell]

Top 12 peaks for 10 to 90 degrees two-theta, sorted by position:
21.43 deg, I 100, hkl 1 1 0; 23.50 deg, I 21, hkl 1 3 0; 28.47 deg, I 52, hkl 0 6 1; 29.32 deg, I 33, hkl 1 1 1; 37.89 deg, I 97, hkl 1 7 1; 39.75 deg, I 36, hkl 0 10 1; 40.18 deg, I 33, hkl 0 0 2; 43.09 deg, I 27, hkl 2 0 0; 45.98 deg, I 28, hkl 1 1 2; 48.30 deg, I 21, hkl 1 11 1; 60.05 deg, I 22, hkl 2 10 1; 60.37 deg, I 20, hkl 2 0 2